The following is a theoretical X-ray diffraction stick pattern of NaAl2AgCl8. It was derived from a DFT-relaxed cell (PBE, Alexandria), using Cu Kα, 1.54184 Å.

Crystal structure
Unit cell a=6.5146 b=6.5146 c=9.3338 alpha=90.00 beta=90.00 gamma=120.00
Space group P-3 (No. 147)
One atom of each set of equivalent atoms:
Na1 0.0000 0.0000 0.0000
Al1 0.3333 0.6667 0.7638
Ag1 0.0000 0.0000 0.5000
Cl1 0.0285 0.3393 0.6935
Cl2 0.3333 0.6667 0.9938

Peak list (12 most intense, 2θ = 5–70°, most intense first)
| 2θ/deg | I_rel | h k l |
| --- | --- | --- |
| 18.4 | 100 | 0 1 1 |
| 33.6 | 69 | 2 -1 2 |
| 29.0 | 46 | 1 1 1 |
| 48.4 | 34 | 3 0 0 |
| 24.8 | 33 | 1 0 2 |
| 48.0 | 30 | 1 1 4 |
| 9.5 | 23 | 0 0 1 |
| 27.4 | 21 | 1 1 0 |
| 15.7 | 18 | 1 0 0 |
| 43.5 | 17 | 1 2 1 |
| 37.2 | 16 | 0 2 2 |
| 32.9 | 16 | 1 0 3 |

---

The following is a theoretical X-ray diffraction stick pattern of La4Pm5Sm. It was derived from a DFT-relaxed cell (PBE, Alexandria), using Cu Kα, 1.54184 Å.

Crystal structure
Unit cell a=10.716 b=10.716 c=6.083 alpha=90.00 beta=90.00 gamma=90.00
Space group P4/nmm (No. 129, origin choice 2)
One atom of each set of equivalent atoms:
La1 0.048 0.750 0.131
Pm1 0.090 0.090 0.345
Pm2 0.250 0.750 0.500
Sm1 0.250 0.250 0.842

Peak list (12 most intense, 2θ = 5–70°, most intense first)
| 2θ/deg | I_rel | h k l |
| --- | --- | --- |
| 29.0 | 100 | 3 0 1 |
| 30.2 | 47 | 3 1 1 |
| 30.6 | 36 | 1 0 2 |
| 35.5 | 32 | 3 3 0 |
| 52.2 | 28 | 4 3 2 |
| 27.7 | 22 | 2 2 1 |
| 59.9 | 18 | 6 3 1 |
| 51.1 | 17 | 6 0 0 |
| 48.0 | 16 | 4 4 0 |
| 57.0 | 14 | 4 0 3 |
| 34.9 | 11 | 2 1 2 |
| 68.4 | 11 | 7 3 1 |

---

The following is a theoretical X-ray diffraction stick pattern of Tl3Hg8Pb2. It was derived from a DFT-relaxed cell (PBE, Alexandria), using Cu Kα, 1.54184 Å.

Crystal structure
Unit cell a=6.2076 b=6.2076 c=35.5898 alpha=90.00 beta=90.00 gamma=120.00
Space group R-3m (No. 166, hexagonal axes)
One atom of each set of equivalent atoms:
Tl1 0.0000 0.0000 0.0000
Tl2 0.0000 0.0000 0.1777
Hg1 0.0000 0.0000 0.2674
Hg2 0.0013 0.5007 0.2335
Pb1 0.0000 0.0000 0.3512

Peak list (12 most intense, 2θ = 5–70°, most intense first)
| 2θ/deg | I_rel | h k l |
| --- | --- | --- |
| 33.7 | 100 | 2 0 2 |
| 32.3 | 93 | 0 1 11 |
| 32.6 | 58 | 1 1 6 |
| 28.8 | 51 | 1 1 0 |
| 36.8 | 49 | 1 0 13 |
| 53.2 | 47 | 1 2 11 |
| 34.9 | 46 | 0 2 4 |
| 59.6 | 45 | 2 2 0 |
| 42.1 | 26 | 0 2 10 |
| 39.2 | 26 | 2 0 8 |
| 55.6 | 26 | 2 0 17 |
| 56.4 | 24 | 2 1 13 |

---

The following is a theoretical X-ray diffraction stick pattern of PaAg2AsO6. It was derived from a DFT-relaxed cell (PBE, Alexandria), using Cu Kα, 1.54184 Å.

Crystal structure
Unit cell a=5.5882 b=5.5882 c=14.0686 alpha=90.00 beta=90.00 gamma=120.00
Space group R-3 (No. 148, hexagonal axes)
One atom of each set of equivalent atoms:
Pa1 0.0000 0.0000 0.0000
Ag1 0.0000 0.0000 0.2485
As1 0.0000 0.0000 0.5000
O1 0.0278 0.4408 0.2437

Peak list (12 most intense, 2θ = 5–70°, most intense first)
| 2θ/deg | I_rel | h k l |
| --- | --- | --- |
| 31.4 | 100 | 1 0 4 |
| 32.0 | 90 | 1 1 0 |
| 45.5 | 50 | 0 2 4 |
| 56.7 | 39 | 3 -1 4 |
| 19.4 | 23 | 1 0 1 |
| 57.1 | 21 | 3 0 0 |
| 55.6 | 20 | 0 1 8 |
| 65.6 | 16 | 2 0 8 |
| 67.0 | 13 | 2 2 0 |
| 37.5 | 12 | 1 1 3 |
| 22.3 | 10 | 0 1 2 |
| 18.9 | 7 | 0 0 3 |